[1]
Starting from a cell relaxed with PBE+U, the powder XRD pattern of YFe2Bi2Se2O4 was computed for Cu Kα, 1.54184 Å.
Intensities are scaled so that the largest is 100.

Cell and atoms:
Unit cell a=12.9199 b=12.9199 c=12.9199 alpha=162.36 beta=162.36 gamma=25.04
Atoms (fractional coordinates):
Y 0.0000 0.0000 0.0000
Fe 0.2500 0.7500 0.5000
Fe 0.7500 0.2500 0.5000
Bi 0.4015 0.4015 0.0000
Bi 0.5985 0.5985 0.0000
Se 0.1848 0.1848 0.0000
Se 0.8152 0.8152 0.0000
O 0.0548 0.5548 0.5000
O 0.4452 0.9452 0.5000
O 0.5548 0.0548 0.5000
O 0.9452 0.4452 0.5000

Peak list (8 most intense, 2θ = 10–90°, low angle first)
2θ (°)	intensity
22.7	13
28.7	100
31.9	21
35.1	20
45.8	25
48.6	33
54.9	33
86.8	12

***

[2]
Starting from a cell relaxed with PBE+U, the powder XRD pattern of Fe2Si2BiO9 was computed for Cu Kα, 1.54184 Å.
Intensities are scaled so that the largest is 100.

Cell and atoms:
Unit cell a=5.2226 b=5.2467 c=8.0345 alpha=95.68 beta=96.01 gamma=119.11
Atoms (fractional coordinates):
Fe 0.0000 0.0000 0.0000
Fe 0.3217 0.6719 0.9960
Si 0.1965 0.2122 0.6423
Si 0.5369 0.8674 0.6408
Bi 0.7484 0.4224 0.2665
O 0.0248 0.6760 0.8648
O 0.0621 0.3787 0.1331
O 0.2445 0.2895 0.8474
O 0.3428 0.5131 0.5558
O 0.3451 0.0187 0.5742
O 0.3564 0.0228 0.1404
O 0.6195 0.9084 0.8456
O 0.6892 0.7274 0.1283
O 0.8407 0.0160 0.5564

Peak list (8 most intense, 2θ = 10–90°, low angle first)
2θ (°)	intensity
11.2	90
21.0	62
22.7	57
22.8	51
24.4	63
24.5	63
27.4	100
34.1	55

***

[3]
Starting from a cell relaxed with PBE+U, the powder XRD pattern of Fe2Si2BiO9 was computed for Cu Kα, 1.54184 Å.
Intensities are scaled so that the largest is 100.

Cell and atoms:
Unit cell a=5.2183 b=5.2183 c=8.0431 alpha=96.13 beta=96.13 gamma=118.83
Atoms (fractional coordinates):
Fe 0.1631 0.8369 0.0000
Fe 0.8369 0.1631 0.0000
Si 0.0364 0.3787 0.6427
Si 0.3787 0.0364 0.6427
Bi 0.5921 0.5921 0.2712
O 0.0826 0.4593 0.8484
O 0.1832 0.1832 0.5732
O 0.1840 0.6802 0.5578
O 0.1939 0.1939 0.1427
O 0.4593 0.0826 0.8484
O 0.5379 0.9006 0.1346
O 0.6802 0.1840 0.5578
O 0.8519 0.8519 0.8660
O 0.9006 0.5379 0.1346

Peak list (8 most intense, 2θ = 10–90°, low angle first)
2θ (°)	intensity
11.3	70
20.9	49
22.8	79
24.5	100
27.3	81
30.2	50
34.6	56
52.1	30

***

[4]
Starting from a cell relaxed with PBE+U, the powder XRD pattern of SrFeBi2O5 was computed for Cu Kα, 1.54184 Å.
Intensities are scaled so that the largest is 100.

Cell and atoms:
Unit cell a=3.8633 b=3.8633 c=17.9788 alpha=90.00 beta=90.00 gamma=90.00
Atoms (fractional coordinates):
Sr 0.0000 0.0000 0.2094
Sr 0.0000 0.0000 0.7906
Fe 0.5000 0.5000 0.1110
Fe 0.5000 0.5000 0.8890
Bi 0.0000 0.0000 0.0000
Bi 0.0000 0.0000 0.5000
Bi 0.5000 0.5000 0.3582
Bi 0.5000 0.5000 0.6418
O 0.0000 0.0000 0.3609
O 0.0000 0.0000 0.6391
O 0.0000 0.5000 0.1107
O 0.0000 0.5000 0.8893
O 0.5000 0.0000 0.1107
O 0.5000 0.0000 0.8893
O 0.5000 0.5000 0.0000
O 0.5000 0.5000 0.2346
O 0.5000 0.5000 0.5000
O 0.5000 0.5000 0.7654

Peak list (8 most intense, 2θ = 10–90°, low angle first)
2θ (°)	intensity
25.1	20
27.5	25
30.5	100
32.8	69
44.9	18
47.0	31
52.7	15
57.1	38

***

[5]
Starting from a cell relaxed with PBE+U, the powder XRD pattern of SrFe3Bi2O9 was computed for Cu Kα, 1.54184 Å.
Intensities are scaled so that the largest is 100.

Cell and atoms:
Unit cell a=5.5870 b=5.5870 c=6.8675 alpha=90.00 beta=90.00 gamma=120.00
Atoms (fractional coordinates):
Sr 0.0000 0.0000 0.0000
Fe 0.0000 0.0000 0.5000
Fe 0.3333 0.6667 0.1476
Fe 0.6667 0.3333 0.8524
Bi 0.3333 0.6667 0.6109
Bi 0.6667 0.3333 0.3891
O 0.0000 0.5000 0.0000
O 0.1739 0.3477 0.3456
O 0.1739 0.8261 0.3456
O 0.3477 0.1739 0.6544
O 0.5000 0.0000 0.0000
O 0.5000 0.5000 0.0000
O 0.6523 0.8261 0.3456
O 0.8261 0.1739 0.6544
O 0.8261 0.6523 0.6544

Peak list (8 most intense, 2θ = 10–90°, low angle first)
2θ (°)	intensity
12.9	17
22.5	18
32.0	100
34.7	10
39.5	15
45.9	30
57.1	30
67.0	10

***

[6]
Starting from a cell relaxed with PBE+U, the powder XRD pattern of SrTiFe4Bi4O15 was computed for Cu Kα, 1.54184 Å.
Intensities are scaled so that the largest is 100.

Cell and atoms:
Unit cell a=14.4401 b=14.4401 c=4.0714 alpha=90.32 beta=90.32 gamma=156.98
Atoms (fractional coordinates):
Sr 0.0000 0.0000 0.0000
Ti 0.4724 0.4724 0.4966
Fe 0.0996 0.9039 0.5194
Fe 0.2953 0.6951 0.5161
Fe 0.6951 0.2953 0.5161
Fe 0.9039 0.0996 0.5194
Bi 0.2659 0.8673 0.9441
Bi 0.4650 0.6646 0.9355
Bi 0.6646 0.4650 0.9355
Bi 0.8673 0.2659 0.9441
O 0.0448 0.8477 0.0387
O 0.0546 0.3600 0.5642
O 0.1826 0.2779 0.5471
O 0.2483 0.6457 0.0376
O 0.2779 0.1826 0.5471
O 0.3600 0.0546 0.5642
O 0.4597 0.9650 0.5686
O 0.4890 0.4890 0.0523
O 0.5615 0.8535 0.5576
O 0.6457 0.2483 0.0376
O 0.6693 0.7688 0.5714
O 0.7688 0.6693 0.5714
O 0.8477 0.0448 0.0387
O 0.8535 0.5615 0.5576
O 0.9650 0.4597 0.5686

Peak list (8 most intense, 2θ = 10–90°, low angle first)
2θ (°)	intensity
21.8	25
22.0	47
30.9	62
31.1	31
31.6	100
38.8	33
44.5	15
44.9	31

***

[7]
Starting from a cell relaxed with PBE+U, the powder XRD pattern of TiFeBi2O6 was computed for Cu Kα, 1.54184 Å.
Intensities are scaled so that the largest is 100.

Cell and atoms:
Unit cell a=5.7089 b=9.9078 c=9.9709 alpha=100.51 beta=90.25 gamma=106.69
Atoms (fractional coordinates):
Ti 0.0000 0.0000 0.0000
Ti 0.2483 0.4997 0.7499
Ti 0.4997 0.0010 0.5004
Ti 0.7493 0.5003 0.2503
Fe 0.1229 0.2508 0.3733
Fe 0.3761 0.7513 0.1229
Fe 0.6241 0.2520 0.8733
Fe 0.8733 0.7496 0.6226
Bi 0.0686 0.1382 0.6538
Bi 0.1940 0.3905 0.0242
Bi 0.3180 0.6399 0.4032
Bi 0.4466 0.8905 0.7735
Bi 0.5693 0.1394 0.1535
Bi 0.6943 0.3896 0.5236
Bi 0.8182 0.6387 0.9036
Bi 0.9462 0.8907 0.2749
O 0.0034 0.5765 0.6966
O 0.0027 0.8638 0.8385
O 0.0367 0.6518 0.2335
O 0.2070 0.5971 0.9532
O 0.2273 0.9205 0.1139
O 0.2376 0.8297 0.5671
O 0.2524 0.0776 0.4464
O 0.2545 0.3639 0.5884
O 0.2846 0.1498 0.9839
O 0.4573 0.0977 0.7033
O 0.4815 0.4201 0.8650
O 0.4893 0.3303 0.3164
O 0.5039 0.5770 0.1957
O 0.5070 0.8661 0.3398
O 0.5353 0.6504 0.7348
O 0.7082 0.5996 0.4542
O 0.7292 0.9222 0.6144
O 0.7359 0.8295 0.0683
O 0.7531 0.0782 0.9464
O 0.7576 0.3650 0.0902
O 0.7847 0.1525 0.4847
O 0.9595 0.0993 0.2039
O 0.9805 0.4230 0.3654
O 0.9894 0.3292 0.8169

Peak list (8 most intense, 2θ = 10–90°, low angle first)
2θ (°)	intensity
21.9	88
22.1	43
31.0	100
31.2	50
31.3	48
31.5	96
38.6	32
55.8	34